# 1
# Pm2PtRh
Calculated X-ray powder pattern, CuKα. Input: the GGA-PBE geometry in the Materials Project.

Main lines, sorted by position (2θ from 5° to 70°):
hkl 1 1 1, 21.63 deg, I = 5; hkl 2 2 0, 35.69 deg, I = 100; hkl 3 1 1, 42.11 deg, I = 3; hkl 4 0 0, 51.36 deg, I = 18; hkl 3 3 1, 56.36 deg, I = 1; hkl 4 2 2, 64.11 deg, I = 36; hkl 5 1 1, 68.52 deg, I = 1

Cell and atoms:
Unit cell a=7.116 b=7.116 c=7.116 alpha=90.00 beta=90.00 gamma=90.00
Space group Fm-3m (No. 225)
Unique sites:
1 Pm 0.250 0.250 0.250 (multiplicity 8)
2 Pt 0.000 0.000 0.000 (multiplicity 4)
3 Rh 0.000 0.000 0.500 (multiplicity 4)

***

# 2
# Pm2RuPt
Calculated X-ray powder pattern, CuKα. Input: the GGA-PBE geometry in the Materials Project.

Main lines, sorted by position (2θ from 5° to 70°):
hkl 1 1 1, 21.72 deg, I = 5; hkl 2 2 0, 35.85 deg, I = 100; hkl 3 1 1, 42.31 deg, I = 3; hkl 4 0 0, 51.60 deg, I = 18; hkl 3 3 1, 56.62 deg, I = 1; hkl 4 2 2, 64.42 deg, I = 36; hkl 5 1 1, 68.85 deg, I = 1

Cell and atoms:
Unit cell a=7.085 b=7.085 c=7.085 alpha=90.00 beta=90.00 gamma=90.00
Space group Fm-3m (No. 225)
Unique sites:
1 Pm 0.250 0.250 0.250 (multiplicity 8)
2 Ru 0.000 0.000 0.000 (multiplicity 4)
3 Pt 0.000 0.000 0.500 (multiplicity 4)

***

# 3
# Pm2SiPt
Calculated X-ray powder pattern, CuKα. Input: the GGA-PBE geometry in the Materials Project.

Main lines, sorted by position (2θ from 5° to 70°):
hkl 1 1 1, 21.23 deg, I = 23; hkl 2 0 0, 24.56 deg, I = 3; hkl 2 2 0, 35.02 deg, I = 100; hkl 3 1 1, 41.31 deg, I = 13; hkl 2 2 2, 43.24 deg, I = 1; hkl 4 0 0, 50.36 deg, I = 18; hkl 3 3 1, 55.24 deg, I = 6; hkl 4 2 0, 56.80 deg, I = 1; hkl 4 2 2, 62.81 deg, I = 37; hkl 5 1 1, 67.10 deg, I = 4

Cell and atoms:
Unit cell a=7.248 b=7.248 c=7.248 alpha=90.00 beta=90.00 gamma=90.00
Space group Fm-3m (No. 225)
Unique sites:
1 Pm 0.250 0.250 0.250 (multiplicity 8)
2 Si 0.000 0.000 0.000 (multiplicity 4)
3 Pt 0.000 0.000 0.500 (multiplicity 4)

***

# 4
# PmSnPt2
Calculated X-ray powder pattern, CuKα. Input: the GGA-PBE geometry in the Materials Project.

Main lines, sorted by position (2θ from 5° to 70°):
hkl 2 0 0, 25.70 deg, I = 4; hkl 2 2 0, 36.67 deg, I = 100; hkl 2 2 2, 45.32 deg, I = 1; hkl 4 0 0, 52.83 deg, I = 18; hkl 4 2 0, 59.65 deg, I = 2; hkl 4 2 2, 66.03 deg, I = 37

Cell and atoms:
Unit cell a=6.932 b=6.932 c=6.932 alpha=90.00 beta=90.00 gamma=90.00
Space group Fm-3m (No. 225)
Unique sites:
1 Pm 0.000 0.000 0.000 (multiplicity 4)
2 Sn 0.000 0.000 0.500 (multiplicity 4)
3 Pt 0.250 0.250 0.250 (multiplicity 8)

***

# 5
# SrPmPt2
Calculated X-ray powder pattern, CuKα. Input: the GGA-PBE geometry in the Materials Project.

Main lines, sorted by position (2θ from 5° to 70°):
hkl 1 1 1, 21.28 deg, I = 2; hkl 2 0 0, 24.62 deg, I = 7; hkl 2 2 0, 35.10 deg, I = 100; hkl 3 1 1, 41.41 deg, I = 1; hkl 2 2 2, 43.34 deg, I = 2; hkl 4 0 0, 50.48 deg, I = 18; hkl 3 3 1, 55.38 deg, I = 1; hkl 4 2 0, 56.95 deg, I = 3; hkl 4 2 2, 62.97 deg, I = 37

Cell and atoms:
Unit cell a=7.232 b=7.232 c=7.232 alpha=90.00 beta=90.00 gamma=90.00
Space group Fm-3m (No. 225)
Unique sites:
1 Sr 0.000 0.000 0.000 (multiplicity 4)
2 Pm 0.000 0.000 0.500 (multiplicity 4)
3 Pt 0.250 0.250 0.250 (multiplicity 8)

***

# 6
# Pm2ZnPt
Calculated X-ray powder pattern, CuKα. Input: the GGA-PBE geometry in the Materials Project.

Main lines, sorted by position (2θ from 5° to 70°):
hkl 1 1 1, 21.25 deg, I = 11; hkl 2 2 0, 35.04 deg, I = 100; hkl 3 1 1, 41.34 deg, I = 6; hkl 4 0 0, 50.40 deg, I = 18; hkl 3 3 1, 55.28 deg, I = 3; hkl 4 2 2, 62.86 deg, I = 37; hkl 5 1 1, 67.15 deg, I = 2

Cell and atoms:
Unit cell a=7.243 b=7.243 c=7.243 alpha=90.00 beta=90.00 gamma=90.00
Space group Fm-3m (No. 225)
Unique sites:
1 Pm 0.250 0.250 0.250 (multiplicity 8)
2 Zn 0.000 0.000 0.000 (multiplicity 4)
3 Pt 0.000 0.000 0.500 (multiplicity 4)

***

# 7
# PmSbRh2
Calculated X-ray powder pattern, CuKα. Input: the GGA-PBE geometry in the Materials Project.

Main lines, sorted by position (2θ from 5° to 70°):
hkl 1 1 1, 22.76 deg, I = 1; hkl 2 0 0, 26.34 deg, I = 2; hkl 2 2 0, 37.59 deg, I = 100; hkl 2 2 2, 46.49 deg, I = 1; hkl 4 0 0, 54.22 deg, I = 17; hkl 4 2 0, 61.26 deg, I = 1; hkl 4 2 2, 67.85 deg, I = 35

Cell and atoms:
Unit cell a=6.767 b=6.767 c=6.767 alpha=90.00 beta=90.00 gamma=90.00
Space group Fm-3m (No. 225)
Unique sites:
1 Pm 0.000 0.000 0.000 (multiplicity 4)
2 Sb 0.000 0.000 0.500 (multiplicity 4)
3 Rh 0.250 0.250 0.250 (multiplicity 8)

***

# 8
# PmSmRh2
Calculated X-ray powder pattern, CuKα. Input: the GGA-PBE geometry in the Materials Project.

Main lines, sorted by position (2θ from 5° to 70°):
hkl 2 0 0, 25.35 deg, I = 3; hkl 2 2 0, 36.16 deg, I = 100; hkl 2 2 2, 44.68 deg, I = 1; hkl 4 0 0, 52.07 deg, I = 17; hkl 4 2 0, 58.78 deg, I = 1; hkl 4 2 2, 65.04 deg, I = 36

Cell and atoms:
Unit cell a=7.026 b=7.026 c=7.026 alpha=90.00 beta=90.00 gamma=90.00
Space group Fm-3m (No. 225)
Unique sites:
1 Pm 0.000 0.000 0.000 (multiplicity 4)
2 Sm 0.000 0.000 0.500 (multiplicity 4)
3 Rh 0.250 0.250 0.250 (multiplicity 8)

***

# 9
# PmSnRh2
Calculated X-ray powder pattern, CuKα. Input: the GGA-PBE geometry in the Materials Project.

Main lines, sorted by position (2θ from 5° to 70°):
hkl 1 1 1, 22.77 deg, I = 1; hkl 2 0 0, 26.35 deg, I = 2; hkl 2 2 0, 37.61 deg, I = 100; hkl 2 2 2, 46.50 deg, I = 1; hkl 4 0 0, 54.24 deg, I = 17; hkl 4 2 0, 61.28 deg, I = 1; hkl 4 2 2, 67.88 deg, I = 35

Cell and atoms:
Unit cell a=6.765 b=6.765 c=6.765 alpha=90.00 beta=90.00 gamma=90.00
Space group Fm-3m (No. 225)
Unique sites:
1 Pm 0.000 0.000 0.000 (multiplicity 4)
2 Sn 0.000 0.000 0.500 (multiplicity 4)
3 Rh 0.250 0.250 0.250 (multiplicity 8)

***

# 10
# TbPmRh2
Calculated X-ray powder pattern, CuKα. Input: the GGA-PBE geometry in the Materials Project.

Main lines, sorted by position (2θ from 5° to 70°):
hkl 2 0 0, 25.47 deg, I = 4; hkl 2 2 0, 36.33 deg, I = 100; hkl 2 2 2, 44.89 deg, I = 1; hkl 4 0 0, 52.32 deg, I = 17; hkl 4 2 0, 59.06 deg, I = 2; hkl 4 2 2, 65.36 deg, I = 36

Cell and atoms:
Unit cell a=6.994 b=6.994 c=6.994 alpha=90.00 beta=90.00 gamma=90.00
Space group Fm-3m (No. 225)
Unique sites:
1 Tb 0.000 0.000 0.000 (multiplicity 4)
2 Pm 0.000 0.000 0.500 (multiplicity 4)
3 Rh 0.250 0.250 0.250 (multiplicity 8)

***

# 11
# Pm2ZnRh
Calculated X-ray powder pattern, CuKα. Input: the GGA-PBE geometry in the Materials Project.

Main lines, sorted by position (2θ from 5° to 70°):
hkl 1 1 1, 21.42 deg, I = 1; hkl 2 0 0, 24.78 deg, I = 7; hkl 2 2 0, 35.33 deg, I = 100; hkl 3 1 1, 41.69 deg, I = 1; hkl 2 2 2, 43.64 deg, I = 2; hkl 4 0 0, 50.83 deg, I = 18; hkl 4 2 0, 57.35 deg, I = 3; hkl 4 2 2, 63.42 deg, I = 36

Cell and atoms:
Unit cell a=7.185 b=7.185 c=7.185 alpha=90.00 beta=90.00 gamma=90.00
Space group Fm-3m (No. 225)
Unique sites:
1 Pm 0.250 0.250 0.250 (multiplicity 8)
2 Zn 0.000 0.000 0.000 (multiplicity 4)
3 Rh 0.000 0.000 0.500 (multiplicity 4)

***

# 12
# PmZnRh2
Calculated X-ray powder pattern, CuKα. Input: the GGA-PBE geometry in the Materials Project.

Main lines, sorted by position (2θ from 5° to 70°):
hkl 1 1 1, 23.46 deg, I = 8; hkl 2 2 0, 38.78 deg, I = 100; hkl 3 1 1, 45.82 deg, I = 4; hkl 4 0 0, 56.00 deg, I = 17; hkl 3 3 1, 61.54 deg, I = 2

Cell and atoms:
Unit cell a=6.568 b=6.568 c=6.568 alpha=90.00 beta=90.00 gamma=90.00
Space group Fm-3m (No. 225)
Unique sites:
1 Pm 0.000 0.000 0.000 (multiplicity 4)
2 Zn 0.000 0.000 0.500 (multiplicity 4)
3 Rh 0.250 0.250 0.250 (multiplicity 8)